# CdFeMo2O8
Simulated PXRD pattern, copper Kα. Input: a DFT-relaxed cell (GGA+U, Alexandria).
Kinematic intensities with the Lorentz-polarization factor, no thermal factor.

The 6 most intense peaks (2θ = 15–90°), low angle first:
2θ 25.13, I 100; 2θ 31.81, I 92; 2θ 35.84, I 18; 2θ 48.67, I 63; 2θ 51.59, I 18; 2θ 61.90, I 17

Structure:
Lattice parameters (Å, degrees): 6.055 6.055 6.055 108.37 108.37 111.69
Fractional positions:
Cd1 0.000 0.000 0.000
Fe1 0.750 0.250 0.500
Mo1 0.250 0.750 0.500
Mo2 0.500 0.500 0.000
O1 0.086 0.388 0.302
O2 0.086 0.784 0.698
O3 0.138 0.344 0.794
O4 0.216 0.914 0.302
O5 0.551 0.344 0.206
O6 0.612 0.914 0.698
O7 0.656 0.449 0.794
O8 0.656 0.862 0.206